No. 1
TbPt2: computed XRD peak list (Cu Kα (weighted mean of Kα1 and Kα2)), based on a structure optimized by DFT (PBE).

Structure:
Cell: 7.708 7.708 7.708 Å, 90.00 90.00 90.00°
Space group Fd-3m (No. 227, origin choice 2)
Unique sites:
Tb 0.125 0.125 0.125
Pt 0.000 0.000 0.500

Principal peaks in the range 10° ≤ 2θ ≤ 90°, sorted by position:
- 20.0 deg, I 122
- 32.9 deg, I 211
- 38.7 deg, I 1000
- 40.5 deg, I 471
- 62.6 deg, I 331
- 68.9 deg, I 298
- 82.0 deg, I 118
- 83.1 deg, I 185

=====

No. 2
MgRu2O8: computed XRD peak list (Cu Kα (weighted mean of Kα1 and Kα2)), based on a structure optimized by DFT (PBE).

Structure:
```
data_MgRu2O8
_chemical_formula_sum 'Mg1 Ru2 O8'
_cell_length_a 5.279
_cell_length_b 5.691
_cell_length_c 8.314
_cell_angle_alpha 78.84
_cell_angle_beta 74.50
_cell_angle_gamma 65.02
_space_group_name_H-M_alt 'P 1'
_space_group_IT_number 1
loop_
_space_group_symop_operation_xyz
'x,y,z'
loop_
_atom_site_label
_atom_site_type_symbol
_atom_site_fract_x
_atom_site_fract_y
_atom_site_fract_z
Mg1 Mg 0.000 0.000 0.000
Ru1 Ru 0.176 0.151 0.363
Ru2 Ru 0.727 0.659 0.848
O1 O 0.074 0.063 0.205
O2 O 0.246 0.426 0.290
O3 O 0.369 0.880 0.839
O4 O 0.480 0.902 0.413
O5 O 0.734 0.339 0.920
O6 O 0.826 0.753 0.009
O7 O 0.905 0.212 0.538
O8 O 0.967 0.655 0.662
```

Principal peaks in the range 10° ≤ 2θ ≤ 90°, sorted by position:
- 19.7 deg, I 881
- 19.9 deg, I 978
- 20.0 deg, I 949
- 21.4 deg, I 1000
- 22.3 deg, I 759
- 24.0 deg, I 793
- 25.6 deg, I 775
- 30.5 deg, I 311

=====

No. 3
Sc2RuAu: computed XRD peak list (Cu Kα (weighted mean of Kα1 and Kα2)), based on a structure optimized by DFT (PBE).

Structure:
```
data_Sc2RuAu
_chemical_formula_sum 'Sc8 Ru4 Au4'
_cell_length_a 6.617
_cell_length_b 6.617
_cell_length_c 6.617
_cell_angle_alpha 90.00
_cell_angle_beta 90.00
_cell_angle_gamma 90.00
_space_group_name_H-M_alt 'F m -3 m'
_space_group_IT_number 225
_space_group_name_Hall '-F 4 2 3'
loop_
_atom_site_label
_atom_site_type_symbol
_atom_site_fract_x
_atom_site_fract_y
_atom_site_fract_z
Sc1 Sc 0.250 0.250 0.250
Ru1 Ru 0.000 0.000 0.000
Au1 Au 0.000 0.000 0.500
```

Principal peaks in the range 10° ≤ 2θ ≤ 90°, sorted by position:
- 23.3 deg, I 134
- 27.0 deg, I 368
- 38.5 deg, I 1000
- 47.6 deg, I 112
- 55.6 deg, I 168
- 62.8 deg, I 151
- 69.6 deg, I 338
- 82.5 deg, I 107

=====

No. 4
Er2SiO5: computed XRD peak list (Cu Kα (weighted mean of Kα1 and Kα2)), based on a structure optimized by DFT (PBE).

Structure:
```
data_Er2SiO5
_chemical_formula_sum 'Er16 Si8 O40'
_cell_length_a 14.449
_cell_length_b 6.735
_cell_length_c 10.390
_cell_angle_alpha 90.00
_cell_angle_beta 122.20
_cell_angle_gamma 90.00
_space_group_name_H-M_alt 'C 1 2/c 1'
_space_group_IT_number 15
loop_
_space_group_symop_operation_xyz
'x,y,z'
'-x,-y,-z'
'-x,y,-z+1/2'
'x,-y,z+1/2'
'x+1/2,y+1/2,z'
'-x+1/2,-y+1/2,-z'
'-x+1/2,y+1/2,-z+1/2'
'x+1/2,-y+1/2,z+1/2'
loop_
_atom_site_label
_atom_site_type_symbol
_atom_site_fract_x
_atom_site_fract_y
_atom_site_fract_z
Er1 Er 0.037 0.244 0.466
Er2 Er 0.141 0.123 0.836
Si1 Si 0.182 0.410 0.307
O1 O 0.018 0.096 0.898
O2 O 0.088 0.497 0.139
O3 O 0.119 0.212 0.322
O4 O 0.201 0.429 0.938
O5 O 0.202 0.147 0.676
```

Principal peaks in the range 10° ≤ 2θ ≤ 90°, sorted by position:
- 15.0 deg, I 440
- 22.7 deg, I 1000
- 25.1 deg, I 579
- 28.4 deg, I 605
- 29.6 deg, I 888
- 30.3 deg, I 758
- 30.7 deg, I 988
- 35.1 deg, I 517

=====

What did the second record say?
MgRu2O8: computed XRD peak list (Cu Kα (weighted mean of Kα1 and Kα2)), based on a structure optimized by DFT (PBE).

Structure:
```
data_MgRu2O8
_chemical_formula_sum 'Mg1 Ru2 O8'
_cell_length_a 5.279
_cell_length_b 5.691
_cell_length_c 8.314
_cell_angle_alpha 78.84
_cell_angle_beta 74.50
_cell_angle_gamma 65.02
_space_group_name_H-M_alt 'P 1'
_space_group_IT_number 1
loop_
_space_group_symop_operation_xyz
'x,y,z'
loop_
_atom_site_label
_atom_site_type_symbol
_atom_site_fract_x
_atom_site_fract_y
_atom_site_fract_z
Mg1 Mg 0.000 0.000 0.000
Ru1 Ru 0.176 0.151 0.363
Ru2 Ru 0.727 0.659 0.848
O1 O 0.074 0.063 0.205
O2 O 0.246 0.426 0.290
O3 O 0.369 0.880 0.839
O4 O 0.480 0.902 0.413
O5 O 0.734 0.339 0.920
O6 O 0.826 0.753 0.009
O7 O 0.905 0.212 0.538
O8 O 0.967 0.655 0.662
```

Principal peaks in the range 10° ≤ 2θ ≤ 90°, sorted by position:
- 19.7 deg, I 881
- 19.9 deg, I 978
- 20.0 deg, I 949
- 21.4 deg, I 1000
- 22.3 deg, I 759
- 24.0 deg, I 793
- 25.6 deg, I 775
- 30.5 deg, I 311

=====

What did the third record say?
Sc2RuAu: computed XRD peak list (Cu Kα (weighted mean of Kα1 and Kα2)), based on a structure optimized by DFT (PBE).

Structure:
```
data_Sc2RuAu
_chemical_formula_sum 'Sc8 Ru4 Au4'
_cell_length_a 6.617
_cell_length_b 6.617
_cell_length_c 6.617
_cell_angle_alpha 90.00
_cell_angle_beta 90.00
_cell_angle_gamma 90.00
_space_group_name_H-M_alt 'F m -3 m'
_space_group_IT_number 225
_space_group_name_Hall '-F 4 2 3'
loop_
_atom_site_label
_atom_site_type_symbol
_atom_site_fract_x
_atom_site_fract_y
_atom_site_fract_z
Sc1 Sc 0.250 0.250 0.250
Ru1 Ru 0.000 0.000 0.000
Au1 Au 0.000 0.000 0.500
```

Principal peaks in the range 10° ≤ 2θ ≤ 90°, sorted by position:
- 23.3 deg, I 134
- 27.0 deg, I 368
- 38.5 deg, I 1000
- 47.6 deg, I 112
- 55.6 deg, I 168
- 62.8 deg, I 151
- 69.6 deg, I 338
- 82.5 deg, I 107